[1]
The following is a theoretical X-ray diffraction stick pattern of CsLiAsSe2. It was derived from a PBE-relaxed structure, using Cu Kα (weighted mean of Kα1 and Kα2).
No peak broadening, texture or thermal motion is included.

Structure:
Cell lengths 8.431, 8.431, 6.717 Å; angles 90.00, 90.00, 141.71 degrees
Sites, in units of the cell vectors:
Cs (0.250, 0.750, 0.756)
Cs (0.750, 0.250, 0.244)
Li (0.250, 0.250, 0.500)
Li (0.750, 0.750, 0.500)
As (0.000, 0.000, 0.000)
As (0.500, 0.500, 0.000)
Se (0.105, 0.895, 0.289)
Se (0.395, 0.605, 0.289)
Se (0.605, 0.395, 0.711)
Se (0.895, 0.105, 0.711)

Most intense lines, 10° ≤ 2θ ≤ 80°, low angle first:
2θ (°), I_rel
26.54, 122
26.79, 1000
28.85, 177
32.38, 270
35.14, 168
43.45, 169
43.92, 109
47.01, 160
54.43, 135
55.21, 155

***

[2]
The following is a theoretical X-ray diffraction stick pattern of LaErPbO2. It was derived from a PBE-relaxed structure, using Cu Kα (weighted mean of Kα1 and Kα2).
No peak broadening, texture or thermal motion is included.

Structure:
Cell lengths 3.924, 3.924, 14.471 Å; angles 90.00, 90.00, 90.00 degrees
Sites, in units of the cell vectors:
La (0.000, 0.000, 0.000)
La (0.500, 0.500, 0.500)
Er (0.000, 0.000, 0.338)
Er (0.500, 0.500, 0.838)
Pb (0.000, 0.000, 0.671)
Pb (0.500, 0.500, 0.171)
O (0.000, 0.500, 0.410)
O (0.000, 0.500, 0.910)
O (0.500, 0.000, 0.410)
O (0.500, 0.000, 0.910)

Most intense lines, 10° ≤ 2θ ≤ 80°, low angle first:
2θ (°), I_rel
29.34, 1000
32.26, 341
37.28, 117
46.28, 163
50.11, 255
55.74, 337
60.87, 117
62.42, 118
75.28, 70
76.82, 61

***

[3]
The following is a theoretical X-ray diffraction stick pattern of La5Mg41. It was derived from a PBE-relaxed structure, using Cu Kα (weighted mean of Kα1 and Kα2).
No peak broadening, texture or thermal motion is included.

Structure:
Cell lengths 11.691, 11.691, 11.691 Å; angles 101.54, 101.54, 126.87 degrees
Sites, in units of the cell vectors:
La (0.000, 0.000, 0.000)
La (0.238, 0.571, 0.809)
La (0.429, 0.238, 0.667)
La (0.571, 0.762, 0.333)
La (0.762, 0.429, 0.191)
Mg (0.000, 0.000, 0.500)
Mg (0.000, 0.500, 0.000)
Mg (0.011, 0.403, 0.414)
Mg (0.082, 0.793, 0.167)
Mg (0.085, 0.918, 0.711)
Mg (0.110, 0.820, 0.445)
Mg (0.122, 0.779, 0.901)
Mg (0.172, 0.231, 0.788)
Mg (0.180, 0.625, 0.291)
Mg (0.207, 0.374, 0.289)
Mg (0.216, 0.340, 0.556)
Mg (0.221, 0.122, 0.343)
Mg (0.231, 0.443, 0.059)
Mg (0.334, 0.890, 0.709)
Mg (0.340, 0.784, 0.124)
Mg (0.374, 0.085, 0.167)
Mg (0.375, 0.666, 0.555)
Mg (0.384, 0.172, 0.941)
Mg (0.403, 0.989, 0.392)
Mg (0.443, 0.384, 0.212)
Mg (0.500, 0.000, 0.000)
Mg (0.500, 0.500, 0.000)
Mg (0.500, 0.500, 0.500)
Mg (0.557, 0.616, 0.788)
Mg (0.597, 0.011, 0.608)
Mg (0.616, 0.828, 0.059)
Mg (0.625, 0.334, 0.445)
Mg (0.626, 0.915, 0.833)
Mg (0.660, 0.216, 0.876)
Mg (0.666, 0.110, 0.291)
Mg (0.769, 0.557, 0.941)
Mg (0.779, 0.878, 0.657)
Mg (0.784, 0.660, 0.444)
Mg (0.793, 0.626, 0.711)
Mg (0.820, 0.375, 0.709)
Mg (0.828, 0.769, 0.212)
Mg (0.878, 0.221, 0.099)
Mg (0.890, 0.180, 0.555)
Mg (0.915, 0.082, 0.289)
Mg (0.918, 0.207, 0.833)
Mg (0.989, 0.597, 0.586)

Most intense lines, 10° ≤ 2θ ≤ 80°, low angle first:
2θ (°), I_rel
15.86, 1000
16.96, 353
18.98, 419
25.56, 501
28.96, 659
31.43, 638
32.02, 779
33.75, 425
35.39, 893
35.93, 619

***

[4]
The following is a theoretical X-ray diffraction stick pattern of AsBr. It was derived from a PBE-relaxed structure, using Cu Kα (weighted mean of Kα1 and Kα2).
No peak broadening, texture or thermal motion is included.

Structure:
Cell lengths 11.936, 3.752, 6.271 Å; angles 90.00, 95.49, 90.00 degrees
Sites, in units of the cell vectors:
As (0.216, 0.000, 0.371)
As (0.284, 0.500, 0.629)
As (0.716, 0.500, 0.371)
As (0.784, 0.000, 0.629)
Br (0.113, 0.500, 0.800)
Br (0.387, 0.000, 0.200)
Br (0.613, 0.000, 0.800)
Br (0.887, 0.500, 0.200)

Most intense lines, 10° ≤ 2θ ≤ 80°, low angle first:
2θ (°), I_rel
14.91, 461
21.62, 662
24.89, 174
28.39, 328
29.12, 1000
32.11, 326
38.83, 220
45.17, 324
45.62, 286
53.66, 325

***

[5]
The following is a theoretical X-ray diffraction stick pattern of Cd2In2Hg. It was derived from a PBE-relaxed structure, using Cu Kα (weighted mean of Kα1 and Kα2).
No peak broadening, texture or thermal motion is included.

Structure:
Cell lengths 4.227, 4.227, 15.386 Å; angles 90.00, 90.00, 90.00 degrees
Sites, in units of the cell vectors:
Cd (0.000, 0.500, 0.250)
Cd (0.000, 0.500, 0.750)
Cd (0.500, 0.000, 0.250)
Cd (0.500, 0.000, 0.750)
In (0.000, 0.000, 0.099)
In (0.000, 0.000, 0.901)
In (0.500, 0.500, 0.401)
In (0.500, 0.500, 0.599)
Hg (0.000, 0.000, 0.500)
Hg (0.500, 0.500, 0.000)

Most intense lines, 10° ≤ 2θ ≤ 80°, low angle first:
2θ (°), I_rel
23.12, 132
27.34, 423
32.13, 1000
36.10, 540
42.79, 390
46.61, 190
51.53, 150
57.19, 282
68.60, 186
71.66, 192

***

[6]
The following is a theoretical X-ray diffraction stick pattern of CePm8Tm3. It was derived from a PBE-relaxed structure, using Cu Kα (weighted mean of Kα1 and Kα2).
No peak broadening, texture or thermal motion is included.

Structure:
Cell lengths 8.398, 8.398, 8.398 Å; angles 117.89, 117.89, 93.70 degrees
Sites, in units of the cell vectors:
Ce (0.000, 0.000, 0.000)
Pm (0.118, 0.118, 0.756)
Pm (0.215, 0.215, 0.473)
Pm (0.258, 0.785, 0.000)
Pm (0.363, 0.363, 0.244)
Pm (0.637, 0.882, 0.000)
Pm (0.742, 0.742, 0.527)
Pm (0.785, 0.258, 0.000)
Pm (0.882, 0.637, 0.000)
Tm (0.250, 0.750, 0.500)
Tm (0.500, 0.500, 0.000)
Tm (0.750, 0.250, 0.500)

Most intense lines, 10° ≤ 2θ ≤ 80°, low angle first:
2θ (°), I_rel
24.24, 532
25.76, 524
29.15, 764
31.14, 645
32.88, 302
36.33, 1000
43.18, 468
44.71, 382
56.47, 325
58.84, 307

***

[7]
The following is a theoretical X-ray diffraction stick pattern of Pm3Pu2Ge3. It was derived from a PBE-relaxed structure, using Cu Kα (weighted mean of Kα1 and Kα2).
No peak broadening, texture or thermal motion is included.

Structure:
Cell lengths 8.949, 8.949, 6.096 Å; angles 90.00, 90.00, 120.00 degrees
Sites, in units of the cell vectors:
Pm (0.000, 0.275, 0.250)
Pm (0.000, 0.725, 0.750)
Pm (0.275, 0.000, 0.250)
Pm (0.275, 0.275, 0.750)
Pm (0.725, 0.000, 0.750)
Pm (0.725, 0.725, 0.250)
Pu (0.333, 0.667, 0.000)
Pu (0.333, 0.667, 0.500)
Pu (0.667, 0.333, 0.000)
Pu (0.667, 0.333, 0.500)
Ge (0.000, 0.373, 0.750)
Ge (0.000, 0.627, 0.250)
Ge (0.373, 0.000, 0.750)
Ge (0.373, 0.373, 0.250)
Ge (0.627, 0.000, 0.250)
Ge (0.627, 0.627, 0.750)

Most intense lines, 10° ≤ 2θ ≤ 80°, low angle first:
2θ (°), I_rel
11.42, 323
22.95, 225
30.52, 280
31.54, 220
33.95, 362
34.72, 809
35.64, 1000
50.61, 324
62.84, 212
71.93, 199